Li2Mn3O6: simulated powder diffraction line list (Cu Kα), based on a structure optimized by DFT (PBE+U).

Most intense lines, 2θ from 10° to 80°, low angle first:
Position (°2θ), I/Imax
17.23, 100
34.55, 7
35.64, 30
38.85, 24
43.71, 35
49.90, 14
57.09, 18
62.61, 16
74.10, 5
75.50, 6

Cell and atoms:
a b c (Å): 5.1967 5.1967 10.2909
angles (deg): 90.00 90.00 59.94
Fractional coordinates of all 22 atoms:
Li 0.1427 0.3573 0.2500
Li 0.3573 0.1427 0.7500
Li 0.6427 0.8573 0.2500
Li 0.8573 0.6427 0.7500
Mn 0.0000 0.0000 0.0000
Mn 0.1637 0.1637 0.5000
Mn 0.3363 0.3363 0.0000
Mn 0.5000 0.5000 0.5000
Mn 0.6637 0.6637 0.0000
Mn 0.8363 0.8363 0.5000
O 0.0238 0.3400 0.8931
O 0.1600 0.4762 0.6069
O 0.1734 0.8266 0.4086
O 0.3266 0.6734 0.9086
O 0.3400 0.0238 0.1069
O 0.4762 0.1600 0.3931
O 0.5238 0.8400 0.6069
O 0.6600 0.9762 0.8931
O 0.6734 0.3266 0.0914
O 0.8266 0.1734 0.5914
O 0.8400 0.5238 0.3931
O 0.9762 0.6600 0.1069